[1]
Na2Sb4O11: theoretical powder X-ray diffraction pattern (CuKα), based on DFT lattice parameters and positions (PBE).

Peak list (8 most intense, 10 to 90 degrees two-theta, by angle)
2θ (°)  d/Å  Rel. int.
14.74  6.012  48
16.93  5.238  44
29.22  3.057  100
29.71  3.007  59
31.99  2.798  81
49.98  1.825  42
54.20  1.692  27
59.24  1.560  35

Crystal structure
```
Na2Sb4O11
1.0
3.1606 1.8248 12.0235
-3.1606 1.8248 12.0235
0.0000 -3.6495 12.0235
Na Sb O
4 8 22
direct
0.1680 0.1680 0.1680
0.3320 0.3320 0.3320
0.6680 0.6680 0.6680
0.8320 0.8320 0.8320
0.0000 0.0000 0.0000
0.1098 0.7500 0.3902
0.2500 0.6098 0.8902
0.3902 0.1098 0.7500
0.5000 0.5000 0.5000
0.6098 0.8902 0.2500
0.7500 0.3902 0.1098
0.8902 0.2500 0.6098
0.0072 0.4928 0.7500
0.0499 0.7426 0.2950
0.0943 0.0943 0.0943
0.2050 0.7574 0.4501
0.2426 0.5499 0.7950
0.2500 0.9928 0.5072
0.2574 0.7050 0.9501
0.2950 0.0499 0.7426
0.4057 0.4057 0.4057
0.4501 0.2050 0.7574
0.4928 0.7500 0.0072
0.5072 0.2500 0.9928
0.5499 0.7950 0.2426
0.5943 0.5943 0.5943
0.7050 0.9501 0.2574
0.7426 0.2950 0.0499
0.7500 0.0072 0.4928
0.7574 0.4501 0.2050
0.7950 0.2426 0.5499
0.9057 0.9057 0.9057
0.9501 0.2574 0.7050
0.9928 0.5072 0.2500
```

=====

[2]
NaSbO6: theoretical powder X-ray diffraction pattern (CuKα), based on DFT lattice parameters and positions (PBE).

Peak list (8 most intense, 10 to 90 degrees two-theta, by angle)
2θ (°)  d/Å  Rel. int.
19.35  4.587  96
20.41  4.351  100
33.19  2.699  42
35.12  2.555  36
39.28  2.294  39
41.50  2.176  20
46.68  1.946  18
54.14  1.694  25

Crystal structure
```
NaSbO6
1.0
8.7029 0.0000 0.0000
0.0000 8.7029 0.0000
0.0000 0.0000 6.8819
Na Sb O
4 4 24
direct
0.0000 0.0000 0.0000
0.0000 0.5000 0.5000
0.5000 0.0000 0.5000
0.5000 0.5000 0.0000
0.0000 0.0000 0.5000
0.0000 0.5000 0.0000
0.5000 0.0000 0.0000
0.5000 0.5000 0.5000
0.0040 0.7492 0.1588
0.0382 0.7536 0.3480
0.0852 0.0992 0.2912
0.0992 0.4148 0.2088
0.2464 0.5382 0.8480
0.2492 0.9960 0.6588
0.2508 0.5040 0.6588
0.2536 0.9618 0.8480
0.4008 0.0852 0.2088
0.4148 0.4008 0.2912
0.4618 0.7464 0.3480
0.4960 0.7508 0.1588
0.5040 0.2492 0.8412
0.5382 0.2536 0.6520
0.5852 0.5992 0.7088
0.5992 0.9148 0.7912
0.7464 0.0382 0.1520
0.7492 0.4960 0.3412
0.7508 0.0040 0.3412
0.7536 0.4618 0.1520
0.9008 0.5852 0.7912
0.9148 0.9008 0.7088
0.9618 0.2464 0.6520
0.9960 0.2508 0.8412
```

=====

[3]
NaSrSnSbO6: theoretical powder X-ray diffraction pattern (CuKα), based on DFT lattice parameters and positions (PBE).

Peak list (8 most intense, 10 to 90 degrees two-theta, by angle)
2θ (°)  d/Å  Rel. int.
19.02  4.665  9
22.00  4.040  32
31.31  2.857  100
44.87  2.020  36
50.51  1.807  13
55.73  1.649  40
65.33  1.428  22
74.23  1.278  18

Crystal structure
```
NaSrSnSbO6
1.0
0.0000 4.0401 4.0401
4.0401 0.0000 4.0401
4.0401 4.0401 0.0000
Na Sr Sn Sb O
1 1 1 1 6
direct
0.0000 0.0000 0.0000
0.5000 0.5000 0.5000
0.2500 0.2500 0.2500
0.7500 0.7500 0.7500
0.5043 0.5043 0.9957
0.5043 0.9957 0.5043
0.5043 0.9957 0.9957
0.9957 0.5043 0.5043
0.9957 0.5043 0.9957
0.9957 0.9957 0.5043
```

=====

[4]
NaSrZrSbO6: theoretical powder X-ray diffraction pattern (CuKα), based on DFT lattice parameters and positions (PBE).

Peak list (8 most intense, 10 to 90 degrees two-theta, by angle)
2θ (°)  d/Å  Rel. int.
18.82  4.715  13
21.77  4.083  27
30.97  2.887  100
44.37  2.042  37
55.09  1.667  39
64.56  1.444  22
73.32  1.291  17
89.89  1.091  21

Crystal structure
```
NaSrZrSbO6
1.0
0.0000 4.0831 4.0831
4.0831 0.0000 4.0831
4.0831 4.0831 0.0000
Na Sr Zr Sb O
1 1 1 1 6
direct
0.0000 0.0000 0.0000
0.5000 0.5000 0.5000
0.2500 0.2500 0.2500
0.7500 0.7500 0.7500
0.5061 0.5061 0.9939
0.5061 0.9939 0.5061
0.5061 0.9939 0.9939
0.9939 0.5061 0.5061
0.9939 0.5061 0.9939
0.9939 0.9939 0.5061
```